(1)
This entry pairs a crystal structure of CaZn2P2O2 with its theoretical powder diffractogram. Radiation: Cu Kα (weighted mean of Kα1 and Kα2). Structure: a PBE-relaxed structure.
Lines closer than 0.1° are merged.

Structure:
a b c (Å): 4.5011 4.5011 6.9826
angles (deg): 90.00 90.00 120.00
Space group P-3m1 (No. 164)
Inequivalent atoms, fractional coordinates:
Ca 0.0000 0.0000 0.0000 [1 per cell]
Zn 0.3333 0.6667 0.2535 [2 per cell]
P 0.3333 0.6667 0.7519 [2 per cell]
O 0.3333 0.6667 0.5296 [2 per cell]

Principal peaks in the range 2θ = 10–90°, sorted by position:
- (1 0 0), 2θ = 22.8°, intensity 356
- (0 0 2), 2θ = 25.5°, intensity 248
- (0 1 1), 2θ = 26.2°, intensity 636
- (0 1 2), 2θ = 34.5°, intensity 659
- (1 1 0), 2θ = 40.1°, intensity 1000
- (1 0 3), 2θ = 45.4°, intensity 180
- (1 1 2), 2θ = 48.1°, intensity 269
- (2 0 2), 2θ = 53.9°, intensity 175
- (1 1 4), 2θ = 68.0°, intensity 345
- (3 0 0), 2θ = 72.8°, intensity 171

***

(2)
This entry pairs a crystal structure of CaPbO3 with its theoretical powder diffractogram. Radiation: Cu Kα (weighted mean of Kα1 and Kα2). Structure: a PBE-relaxed structure.
Lines closer than 0.1° are merged.

Structure:
a b c (Å): 5.982 8.274 5.760
angles (deg): 90.00 90.00 90.00
Space group Pnma (No. 62)
Inequivalent atoms, fractional coordinates:
Ca 0.059 0.250 0.016 [4 per cell]
Pb 0.000 0.000 0.500 [4 per cell]
O 0.063 0.750 0.372 [4 per cell]
O 0.193 0.567 0.811 [8 per cell]

Principal peaks in the range 2θ = 10–90°, sorted by position:
- (1 0 1), 2θ = 21.4°, intensity 945
- (2 0 0), 2θ = 29.9°, intensity 245
- (1 2 1), 2θ = 30.5°, intensity 1000
- (0 0 2), 2θ = 31.1°, intensity 220
- (2 2 0), 2θ = 37.1°, intensity 121
- (2 0 2), 2θ = 43.6°, intensity 228
- (2 2 2), 2θ = 49.2°, intensity 343
- (3 2 1), 2θ = 53.4°, intensity 205
- (1 2 3), 2θ = 54.9°, intensity 243
- (2 4 2), 2θ = 63.5°, intensity 129

***

(3)
This entry pairs a crystal structure of Ca2Si3PbO9 with its theoretical powder diffractogram. Radiation: Cu Kα (weighted mean of Kα1 and Kα2). Structure: a PBE-relaxed structure.
Lines closer than 0.1° are merged.

Structure:
a b c (Å): 6.782 6.831 9.657
angles (deg): 82.88 69.64 76.76
Space group P-1 (No. 2)
Inequivalent atoms, fractional coordinates:
Ca 0.070 0.442 0.168 [2 per cell]
Ca 0.236 0.272 0.495 [2 per cell]
Si 0.158 0.904 0.219 [2 per cell]
Si 0.281 0.767 0.484 [2 per cell]
Si 0.485 0.438 0.798 [2 per cell]
Pb 0.281 0.907 0.842 [2 per cell]
O 0.025 0.230 0.744 [2 per cell]
O 0.094 0.108 0.126 [2 per cell]
O 0.105 0.626 0.560 [2 per cell]
O 0.194 0.954 0.373 [2 per cell]
O 0.240 0.522 0.902 [2 per cell]
O 0.361 0.872 0.590 [2 per cell]
O 0.373 0.387 0.241 [2 per cell]
O 0.396 0.767 0.124 [2 per cell]
O 0.493 0.359 0.638 [2 per cell]

Principal peaks in the range 2θ = 10–90°, sorted by position:
- (0 1 0), 2θ = 13.3°, intensity 501
- (1 0 1), 2θ = 14.4°, intensity 377
- (0 1 -1), 2θ = 16.9°, intensity 386
- (1 1 1), 2θ = 17.2°, intensity 616
- (1 0 2), 2θ = 20.1°, intensity 432
- (1 2 1), 2θ = 27.4°, intensity 408
- (1 2 0), 2θ = 27.8°, intensity 506
- (2 1 0), 2θ = 29.1°, intensity 1000
- (0 0 3), 2θ = 29.6°, intensity 838
- (1 -2 0), 2θ = 33.0°, intensity 549

***

(4)
This entry pairs a crystal structure of Ca2Si3Pb3O11 with its theoretical powder diffractogram. Radiation: Cu Kα (weighted mean of Kα1 and Kα2). Structure: a PBE-relaxed structure.
Lines closer than 0.1° are merged.

Structure:
a b c (Å): 10.0523 10.0523 10.3190
angles (deg): 90.00 90.00 120.00
Space group P-6 (No. 174)
Inequivalent atoms, fractional coordinates:
Ca 0.0000 0.0000 0.0000 [1 per cell]
Ca 0.0000 0.0000 0.3222 [2 per cell]
Ca 0.3333 0.6667 0.0000 [1 per cell]
Ca 0.3333 0.6667 0.3393 [2 per cell]
Si 0.0517 0.3102 0.5000 [3 per cell]
Si 0.0737 0.7162 0.1493 [6 per cell]
Pb 0.3955 0.3168 0.5000 [3 per cell]
Pb 0.3977 0.0593 0.1788 [6 per cell]
O 0.0240 0.8454 0.1573 [6 per cell]
O 0.0409 0.6342 0.0000 [3 per cell]
O 0.0680 0.8629 0.5000 [3 per cell]
O 0.1703 0.4929 0.5000 [3 per cell]
O 0.2068 0.4694 0.1679 [6 per cell]
O 0.3164 0.0697 0.3761 [6 per cell]
O 0.4252 0.4098 0.2534 [6 per cell]

Principal peaks in the range 2θ = 10–90°, sorted by position:
- (1 1 0), 2θ = 17.6°, intensity 787
- (1 1 1), 2θ = 19.6°, intensity 725
- (1 1 2), 2θ = 24.7°, intensity 963
- (0 0 3), 2θ = 25.9°, intensity 751
- (2 1 1), 2θ = 28.5°, intensity 1000
- (3 0 0), 2θ = 30.8°, intensity 723
- (1 1 3), 2θ = 31.5°, intensity 792
- (1 2 2), 2θ = 32.3°, intensity 866
- (2 2 3), 2θ = 44.6°, intensity 522
- (4 0 3), 2θ = 49.6°, intensity 547

***

What did the fourth record say?
This entry pairs a crystal structure of Ca2Si3Pb3O11 with its theoretical powder diffractogram. Radiation: Cu Kα (weighted mean of Kα1 and Kα2). Structure: a PBE-relaxed structure.
Lines closer than 0.1° are merged.

Structure:
a b c (Å): 10.0523 10.0523 10.3190
angles (deg): 90.00 90.00 120.00
Space group P-6 (No. 174)
Inequivalent atoms, fractional coordinates:
Ca 0.0000 0.0000 0.0000 [1 per cell]
Ca 0.0000 0.0000 0.3222 [2 per cell]
Ca 0.3333 0.6667 0.0000 [1 per cell]
Ca 0.3333 0.6667 0.3393 [2 per cell]
Si 0.0517 0.3102 0.5000 [3 per cell]
Si 0.0737 0.7162 0.1493 [6 per cell]
Pb 0.3955 0.3168 0.5000 [3 per cell]
Pb 0.3977 0.0593 0.1788 [6 per cell]
O 0.0240 0.8454 0.1573 [6 per cell]
O 0.0409 0.6342 0.0000 [3 per cell]
O 0.0680 0.8629 0.5000 [3 per cell]
O 0.1703 0.4929 0.5000 [3 per cell]
O 0.2068 0.4694 0.1679 [6 per cell]
O 0.3164 0.0697 0.3761 [6 per cell]
O 0.4252 0.4098 0.2534 [6 per cell]

Principal peaks in the range 2θ = 10–90°, sorted by position:
- (1 1 0), 2θ = 17.6°, intensity 787
- (1 1 1), 2θ = 19.6°, intensity 725
- (1 1 2), 2θ = 24.7°, intensity 963
- (0 0 3), 2θ = 25.9°, intensity 751
- (2 1 1), 2θ = 28.5°, intensity 1000
- (3 0 0), 2θ = 30.8°, intensity 723
- (1 1 3), 2θ = 31.5°, intensity 792
- (1 2 2), 2θ = 32.3°, intensity 866
- (2 2 3), 2θ = 44.6°, intensity 522
- (4 0 3), 2θ = 49.6°, intensity 547